No. 1
Sr5CaAl2O8F2: theoretical powder diffraction line list (CuKα), based on a GGA-PBE-relaxed structure.

Structure:
abc: 9.637 11.206 9.520
angles: 90.00 90.00 90.00
Space group Fmm2 (No. 42)
Unique sites:
Sr 0.000 0.000 0.000 [4 per cell]
Sr 0.168 0.000 0.665 [8 per cell]
Sr 0.250 0.250 0.413 [8 per cell]
Ca 0.000 0.000 0.339 [4 per cell]
Al 0.000 0.250 0.164 [8 per cell]
O 0.000 0.146 0.518 [8 per cell]
O 0.000 0.147 0.808 [8 per cell]
O 0.141 0.147 0.167 [16 per cell]
F 0.245 0.000 0.413 [8 per cell]

Most intense lines, 15 to 90 degrees two-theta, sorted by position:
30.4°, I = 29, hkl 3 1 1
30.9°, I = 100, hkl 2 2 2
31.9°, I = 41, hkl 0 4 0
38.1°, I = 53, hkl 3 3 1
38.4°, I = 45, hkl 1 3 3
42.0°, I = 26, hkl 4 0 2


No. 2
SrSn4: theoretical powder diffraction line list (CuKα), based on a GGA-PBE-relaxed structure.

Structure:
abc: 4.663 17.649 7.208
angles: 90.00 90.00 90.00
Space group Cmcm (No. 63)
Unique sites:
Sr 0.000 0.112 0.250 [4 per cell]
Sn 0.000 0.090 0.750 [4 per cell]
Sn 0.000 0.305 0.046 [8 per cell]
Sn 0.000 0.500 0.000 [4 per cell]

Most intense lines, 15 to 90 degrees two-theta, sorted by position:
31.8°, I = 100, hkl 1 5 0
32.1°, I = 18, hkl 0 4 2
38.6°, I = 17, hkl 2 0 0
39.5°, I = 14, hkl 0 6 2
56.5°, I = 11, hkl 2 6 2
65.6°, I = 14, hkl 3 5 0


No. 3
PdPtAu: theoretical powder diffraction line list (CuKα), based on a GGA-PBE-relaxed structure.

Structure:
abc: 2.8495 2.8495 6.9864
angles: 90.00 90.00 120.00
Space group P3m1 (No. 156)
Unique sites:
Pd 0.0000 0.0000 0.0000 [1 per cell]
Pt 0.6667 0.3333 0.3211 [1 per cell]
Au 0.3333 0.6667 0.6650 [1 per cell]

Most intense lines, 15 to 90 degrees two-theta, sorted by position:
25.5°, I = 3, hkl 0 0 2
38.7°, I = 100, hkl 1 0 1
45.0°, I = 49, hkl 0 1 2
65.5°, I = 32, hkl 1 1 0
78.7°, I = 38, hkl 0 2 1
83.0°, I = 11, hkl 2 0 2


No. 4
Nd2Co7B3: theoretical powder diffraction line list (CuKα), based on a GGA-PBE-relaxed structure.

Structure:
abc: 5.1301 5.1301 12.7070
angles: 90.00 90.00 120.00
Space group P6/mmm (No. 191)
Unique sites:
Nd 0.0000 0.0000 0.0000 [1 per cell]
Nd 0.0000 0.0000 0.2397 [2 per cell]
Nd 0.0000 0.0000 0.5000 [1 per cell]
Co 0.0000 0.5000 0.1150 [6 per cell]
Co 0.0000 0.5000 0.3434 [6 per cell]
Co 0.3333 0.6667 0.5000 [2 per cell]
B 0.3333 0.6667 0.0000 [2 per cell]
B 0.3333 0.6667 0.2312 [4 per cell]

Most intense lines, 15 to 90 degrees two-theta, sorted by position:
34.7°, I = 97, hkl 1 0 4
35.0°, I = 25, hkl 1 1 0
40.6°, I = 100, hkl 2 0 0
45.4°, I = 83, hkl 1 1 4
62.6°, I = 35, hkl 2 1 4
73.9°, I = 23, hkl 2 2 0


No. 5
CeCoGe3: theoretical powder diffraction line list (CuKα), based on a GGA-PBE-relaxed structure.

Structure:
abc: 4.310 4.310 9.794
angles: 90.00 90.00 90.00
Space group I4mm (No. 107)
Unique sites:
Ce 0.000 0.000 0.000 [2 per cell]
Co 0.000 0.000 0.329 [2 per cell]
Ge 0.000 0.000 0.562 [2 per cell]
Ge 0.000 0.500 0.238 [4 per cell]

Most intense lines, 15 to 90 degrees two-theta, sorted by position:
34.5°, I = 38, hkl 1 0 3
34.7°, I = 100, hkl 1 1 2
41.9°, I = 56, hkl 2 0 0
55.4°, I = 19, hkl 2 1 3
56.9°, I = 19, hkl 2 0 4
71.9°, I = 24, hkl 3 1 2


Number 3 is which compound? PdPtAu